No. 1
Starting from a crystal structure in Alexandria, relaxed with GGA-PBE, the XRD peak list of Sr2LiErS4 was computed for Cu Kα X-rays.
Peak positions follow from Bragg's law for the DFT cell and can differ from measured ones.

Most intense lines, 5° ≤ 2θ ≤ 70°, by intensity:
2theta, d (Å), I/Imax
30.9, 2.893, 100
44.6, 2.032, 69
26.8, 3.326, 56
31.3, 2.856, 48
13.3, 6.652, 44
55.2, 1.663, 36
44.3, 2.046, 35
15.5, 5.711, 29
21.7, 4.092, 27
52.5, 1.743, 21

Atomic structure:
Unit cell a=7.024 b=4.091 c=7.028 alpha=90.00 beta=108.75 gamma=90.00
Positions (direct):
Sr 0.000 0.000 0.000
Sr 0.500 0.500 0.000
Li 0.000 0.500 0.500
Er 0.500 0.000 0.500
S 0.252 0.000 0.728
S 0.262 0.500 0.277
S 0.738 0.500 0.723
S 0.748 0.000 0.272

=====

No. 2
Starting from a crystal structure in Alexandria, relaxed with GGA-PBE, the XRD peak list of LiY3Er3S8 was computed for Cu Kα X-rays.
Peak positions follow from Bragg's law for the DFT cell and can differ from measured ones.

Most intense lines, 5° ≤ 2θ ≤ 70°, by intensity:
2theta, d (Å), I/Imax
32.8, 2.734, 100
47.0, 1.933, 70
28.3, 3.157, 45
16.2, 5.469, 33
23.0, 3.867, 29
58.5, 1.578, 18
36.7, 2.446, 17
55.7, 1.649, 17
14.0, 6.323, 15
40.4, 2.233, 13

Atomic structure:
Unit cell a=7.740 b=7.740 c=7.740 alpha=59.89 beta=59.89 gamma=59.89
Positions (direct):
Li 0.000 0.000 0.000
Y 0.000 0.000 0.500
Y 0.000 0.500 0.000
Y 0.500 0.000 0.000
Er 0.000 0.500 0.500
Er 0.500 0.000 0.500
Er 0.500 0.500 0.000
S 0.246 0.246 0.752
S 0.246 0.752 0.246
S 0.248 0.754 0.754
S 0.251 0.251 0.251
S 0.749 0.749 0.749
S 0.752 0.246 0.246
S 0.754 0.248 0.754
S 0.754 0.754 0.248

=====

No. 3
Starting from a crystal structure in Alexandria, relaxed with GGA-PBE, the XRD peak list of Li3Er3ZrS8 was computed for Cu Kα X-rays.
Peak positions follow from Bragg's law for the DFT cell and can differ from measured ones.

Most intense lines, 5° ≤ 2θ ≤ 70°, by intensity:
2theta, d (Å), I/Imax
14.4, 6.162, 100
33.1, 2.706, 89
27.2, 3.284, 64
47.2, 1.927, 32
47.9, 1.900, 30
36.3, 2.477, 28
49.6, 1.839, 26
43.7, 2.071, 20
28.4, 3.139, 19
58.8, 1.569, 16

Atomic structure:
Unit cell a=7.600 b=7.600 c=7.600 alpha=60.93 beta=60.93 gamma=60.93
Positions (direct):
Li 0.000 0.500 0.500
Li 0.500 0.000 0.500
Li 0.500 0.500 0.000
Er 0.000 0.000 0.500
Er 0.000 0.500 0.000
Er 0.500 0.000 0.000
Zr 0.500 0.500 0.500
S 0.250 0.250 0.250
S 0.260 0.260 0.739
S 0.260 0.739 0.260
S 0.261 0.740 0.740
S 0.739 0.260 0.260
S 0.740 0.261 0.740
S 0.740 0.740 0.261
S 0.750 0.750 0.750

=====

No. 4
Starting from a crystal structure in Alexandria, relaxed with GGA-PBE, the XRD peak list of Li2SmEr2Sb2 was computed for Cu Kα X-rays.
Peak positions follow from Bragg's law for the DFT cell and can differ from measured ones.

Most intense lines, 5° ≤ 2θ ≤ 70°, by intensity:
2theta, d (Å), I/Imax
34.8, 2.575, 100
37.9, 2.371, 97
32.2, 2.780, 90
21.9, 4.058, 89
66.1, 1.414, 34
52.5, 1.744, 31
66.6, 1.405, 30
50.6, 1.804, 25
65.0, 1.436, 24
68.6, 1.369, 17

Atomic structure:
Unit cell a=9.228 b=9.228 c=9.228 alpha=29.78 beta=29.78 gamma=29.78
Positions (direct):
Li 0.090 0.090 0.090
Li 0.910 0.910 0.910
Sm 0.500 0.500 0.500
Er 0.369 0.369 0.369
Er 0.631 0.631 0.631
Sb 0.238 0.238 0.238
Sb 0.762 0.762 0.762